(1)
The following is a computed powder diffractogram of CaTbAgTe3. It was derived from a structure optimized by DFT (PBE), using a wavelength of 1.5418 Å.
Kinematic intensities with the Lorentz-polarization factor, no thermal factor.

Top 6 peaks for 15° ≤ 2θ ≤ 90°, sorted by position:
2θ (°)  intensity
26.9  62
29.7  46
29.8  100
33.8  49
41.8  39
50.4  40

Cell and atoms:
```
data_CaTbAgTe3
_cell_length_a 8.5242
_cell_length_b 4.3217
_cell_length_c 10.2255
_cell_angle_alpha 90.00
_cell_angle_beta 103.19
_cell_angle_gamma 90.00
_symmetry_space_group_name_H-M 'P 1 21/m 1'
_symmetry_Int_Tables_number 11
loop_
_symmetry_equiv_pos_as_xyz
'x,y,z'
'-x,-y,-z'
'-x,y+1/2,-z'
'x,-y+1/2,z'
loop_
_atom_site_label
_atom_site_fract_x
_atom_site_fract_y
_atom_site_fract_z
_atom_site_occupancy
Ca1 0.2059 0.2500 0.2734 1
Tb1 0.3198 0.7500 0.8277 1
Ag1 0.0842 0.2500 0.5859 1
Te1 0.0719 0.2500 0.8581 1
Te2 0.2768 0.7500 0.5192 1
Te3 0.4148 0.7500 0.1468 1
```

=====

(2)
The following is a computed powder diffractogram of CaTcAg2. It was derived from a structure optimized by DFT (PBE), using a wavelength of 1.5418 Å.
Kinematic intensities with the Lorentz-polarization factor, no thermal factor.

Top 6 peaks for 15° ≤ 2θ ≤ 90°, sorted by position:
2θ (°)  intensity
36.2  100
41.0  17
42.6  31
60.6  21
71.6  12
73.8  23

Cell and atoms:
```
data_CaTcAg2
_cell_length_a 4.2454
_cell_length_b 4.2454
_cell_length_c 8.8013
_cell_angle_alpha 90.00
_cell_angle_beta 90.00
_cell_angle_gamma 90.00
_symmetry_space_group_name_H-M 'I -4 m 2'
_symmetry_Int_Tables_number 119
_symmetry_space_group_name_Hall 'I -4 -2'
loop_
_atom_site_label
_atom_site_fract_x
_atom_site_fract_y
_atom_site_fract_z
_atom_site_occupancy
Ca1 0.0000 0.0000 0.0000 1
Tc1 0.0000 0.5000 0.7500 1
Ag1 0.0000 0.0000 0.5000 1
Ag2 0.0000 0.5000 0.2500 1
```

=====

(3)
The following is a computed powder diffractogram of CaAg2Te. It was derived from a structure optimized by DFT (PBE), using a wavelength of 1.5418 Å.
Kinematic intensities with the Lorentz-polarization factor, no thermal factor.

Top 6 peaks for 15° ≤ 2θ ≤ 90°, sorted by position:
2θ (°)  intensity
27.7  27
31.6  100
35.8  90
42.5  33
45.3  36
59.0  40

Cell and atoms:
```
data_CaAg2Te
_cell_length_a 4.0017
_cell_length_b 4.0017
_cell_length_c 6.4434
_cell_angle_alpha 90.00
_cell_angle_beta 90.00
_cell_angle_gamma 90.00
_symmetry_space_group_name_H-M 'P 4 m m'
_symmetry_Int_Tables_number 99
loop_
_symmetry_equiv_pos_as_xyz
'x,y,z'
'-y,x,z'
'-x,-y,z'
'y,-x,z'
'-x,y,z'
'y,x,z'
'x,-y,z'
'-y,-x,z'
loop_
_atom_site_label
_atom_site_fract_x
_atom_site_fract_y
_atom_site_fract_z
_atom_site_occupancy
Ca1 0.0000 0.0000 0.0000 1
Ag1 0.0000 0.0000 0.5352 1
Ag2 0.5000 0.5000 0.6579 1
Te1 0.5000 0.5000 0.1871 1
```

=====

(4)
The following is a computed powder diffractogram of CaAg2Te. It was derived from a structure optimized by DFT (PBE), using a wavelength of 1.5418 Å.
Kinematic intensities with the Lorentz-polarization factor, no thermal factor.

Top 6 peaks for 15° ≤ 2θ ≤ 90°, sorted by position:
2θ (°)  intensity
34.2  100
34.7  24
42.0  28
55.5  24
61.8  17
71.7  21

Cell and atoms:
```
data_CaAg2Te
_cell_length_a 4.3047
_cell_length_b 4.3047
_cell_length_c 5.1732
_cell_angle_alpha 90.00
_cell_angle_beta 90.00
_cell_angle_gamma 90.00
_symmetry_space_group_name_H-M 'P 4/m m m'
_symmetry_Int_Tables_number 123
_symmetry_space_group_name_Hall '-P 4 2'
loop_
_atom_site_label
_atom_site_fract_x
_atom_site_fract_y
_atom_site_fract_z
_atom_site_occupancy
Ca1 0.0000 0.0000 0.0000 1
Ag1 0.0000 0.5000 0.5000 1
Te1 0.5000 0.5000 0.0000 1
```

=====

(5)
The following is a computed powder diffractogram of CaAg3Te3. It was derived from a structure optimized by DFT (PBE), using a wavelength of 1.5418 Å.
Kinematic intensities with the Lorentz-polarization factor, no thermal factor.

Top 6 peaks for 15° ≤ 2θ ≤ 90°, sorted by position:
2θ (°)  intensity
22.6  72
25.6  39
33.2  100
39.6  92
43.2  74
60.1  26

Cell and atoms:
```
data_CaAg3Te3
_cell_length_a 7.8775
_cell_length_b 7.8775
_cell_length_c 22.2584
_cell_angle_alpha 90.00
_cell_angle_beta 90.00
_cell_angle_gamma 120.00
_symmetry_space_group_name_H-M 'R -3'
_symmetry_Int_Tables_number 148
_symmetry_space_group_name_Hall '-R 3'
loop_
_atom_site_label
_atom_site_fract_x
_atom_site_fract_y
_atom_site_fract_z
_atom_site_occupancy
Ca1 0.0000 0.0000 0.1662 1
Ag1 0.0005 0.6482 0.6270 1
Te1 0.0009 0.6807 0.4231 1
```

=====

(6)
The following is a computed powder diffractogram of Ca6Tl5Ag. It was derived from a structure optimized by DFT (PBE), using a wavelength of 1.5418 Å.
Kinematic intensities with the Lorentz-polarization factor, no thermal factor.

Top 6 peaks for 15° ≤ 2θ ≤ 90°, sorted by position:
2θ (°)  intensity
23.0  19
23.1  37
32.8  100
32.9  20
40.5  18
58.5  15

Cell and atoms:
```
data_Ca6Tl5Ag
_cell_length_a 5.4414
_cell_length_b 16.3712
_cell_length_c 7.7442
_cell_angle_alpha 90.00
_cell_angle_beta 90.00
_cell_angle_gamma 90.00
_symmetry_space_group_name_H-M 'C m m m'
_symmetry_Int_Tables_number 65
_symmetry_space_group_name_Hall '-C 2 2'
loop_
_atom_site_label
_atom_site_fract_x
_atom_site_fract_y
_atom_site_fract_z
_atom_site_occupancy
Ca1 0.0000 0.0000 0.2443 1
Ca2 0.0000 0.3371 0.2479 1
Tl1 0.0000 0.1685 0.5000 1
Tl2 0.0000 0.1698 0.0000 1
Tl3 0.0000 0.5000 0.5000 1
Ag1 0.0000 0.5000 0.0000 1
```

=====

(7)
The following is a computed powder diffractogram of Ca7Tl2Ag2. It was derived from a structure optimized by DFT (PBE), using a wavelength of 1.5418 Å.
Kinematic intensities with the Lorentz-polarization factor, no thermal factor.

Top 6 peaks for 15° ≤ 2θ ≤ 90°, sorted by position:
2θ (°)  intensity
19.1  100
24.2  61
30.5  38
34.5  34
35.2  67
41.4  45

Cell and atoms:
```
data_Ca7Tl2Ag2
_cell_length_a 8.3997
_cell_length_b 11.7141
_cell_length_c 7.6516
_cell_angle_alpha 90.00
_cell_angle_beta 90.00
_cell_angle_gamma 90.00
_symmetry_space_group_name_H-M 'C m m m'
_symmetry_Int_Tables_number 65
_symmetry_space_group_name_Hall '-C 2 2'
loop_
_atom_site_label
_atom_site_fract_x
_atom_site_fract_y
_atom_site_fract_z
_atom_site_occupancy
Ca1 0.0000 0.0000 0.0000 1
Ca2 0.0000 0.5000 0.2503 1
Ca3 0.2500 0.2500 0.2699 1
Tl1 0.1795 0.0000 0.5000 1
Ag1 0.0000 0.2913 0.0000 1
```

=====

(8)
The following is a computed powder diffractogram of Ca3TlAg. It was derived from a structure optimized by DFT (PBE), using a wavelength of 1.5418 Å.
Kinematic intensities with the Lorentz-polarization factor, no thermal factor.

Top 6 peaks for 15° ≤ 2θ ≤ 90°, sorted by position:
2θ (°)  intensity
20.2  100
24.3  37
29.1  70
34.2  40
37.2  24
38.3  37

Cell and atoms:
```
data_Ca3TlAg
_cell_length_a 10.5893
_cell_length_b 15.7527
_cell_length_c 4.0374
_cell_angle_alpha 90.00
_cell_angle_beta 90.00
_cell_angle_gamma 90.00
_symmetry_space_group_name_H-M 'C m m m'
_symmetry_Int_Tables_number 65
_symmetry_space_group_name_Hall '-C 2 2'
loop_
_atom_site_label
_atom_site_fract_x
_atom_site_fract_y
_atom_site_fract_z
_atom_site_occupancy
Ca1 0.0000 0.1659 0.0000 1
Ca2 0.1860 0.3869 0.5000 1
Tl1 0.0000 0.0000 0.5000 1
Tl2 0.0000 0.5000 0.0000 1
Ag1 0.2500 0.2500 0.0000 1
```

=====

(9)
The following is a computed powder diffractogram of Ca3Tl4Ag4. It was derived from a structure optimized by DFT (PBE), using a wavelength of 1.5418 Å.
Kinematic intensities with the Lorentz-polarization factor, no thermal factor.

Top 6 peaks for 15° ≤ 2θ ≤ 90°, sorted by position:
2θ (°)  intensity
19.7  59
25.3  65
33.1  61
36.0  59
36.6  100
42.8  61

Cell and atoms:
```
data_Ca3Tl4Ag4
_cell_length_a 3.5468
_cell_length_b 4.9950
_cell_length_c 15.7744
_cell_angle_alpha 80.95
_cell_angle_beta 83.65
_cell_angle_gamma 89.98
_symmetry_space_group_name_H-M 'P -1'
_symmetry_Int_Tables_number 2
loop_
_symmetry_equiv_pos_as_xyz
'x,y,z'
'-x,-y,-z'
loop_
_atom_site_label
_atom_site_fract_x
_atom_site_fract_y
_atom_site_fract_z
_atom_site_occupancy
Ca1 0.0000 0.0000 0.0000 1
Ca2 0.1413 0.6410 0.7165 1
Tl1 0.3150 0.8145 0.3731 1
Tl2 0.4519 0.4504 0.0991 1
Ag1 0.2625 0.2664 0.4699 1
Ag2 0.4085 0.9070 0.1867 1
```

=====

(10)
The following is a computed powder diffractogram of Ca3Tl2Ag. It was derived from a structure optimized by DFT (PBE), using a wavelength of 1.5418 Å.
Kinematic intensities with the Lorentz-polarization factor, no thermal factor.

Top 6 peaks for 15° ≤ 2θ ≤ 90°, sorted by position:
2θ (°)  intensity
23.2  44
33.1  100
47.5  18
53.5  20
59.1  37
79.1  16

Cell and atoms:
```
data_Ca3Tl2Ag
_cell_length_a 5.4163
_cell_length_b 5.4163
_cell_length_c 13.2489
_cell_angle_alpha 90.00
_cell_angle_beta 90.00
_cell_angle_gamma 120.00
_symmetry_space_group_name_H-M 'P -3 m 1'
_symmetry_Int_Tables_number 164
_symmetry_space_group_name_Hall '-P 3 2"'
loop_
_atom_site_label
_atom_site_fract_x
_atom_site_fract_y
_atom_site_fract_z
_atom_site_occupancy
Ca1 0.0000 0.0000 0.2451 1
Ca2 0.3333 0.6667 0.4122 1
Ca3 0.3333 0.6667 0.9180 1
Tl1 0.0000 0.0000 0.0000 1
Tl2 0.0000 0.0000 0.5000 1
Tl3 0.3333 0.6667 0.6693 1
Ag1 0.3333 0.6667 0.1653 1
```

=====

(11)
The following is a computed powder diffractogram of Ca4TlAg2. It was derived from a structure optimized by DFT (PBE), using a wavelength of 1.5418 Å.
Kinematic intensities with the Lorentz-polarization factor, no thermal factor.

Top 6 peaks for 15° ≤ 2θ ≤ 90°, sorted by position:
2θ (°)  intensity
19.5  41
23.8  43
33.6  100
34.2  95
48.7  34
60.5  34

Cell and atoms:
```
data_Ca4TlAg2
_cell_length_a 5.3324
_cell_length_b 5.3324
_cell_length_c 25.4625
_cell_angle_alpha 90.00
_cell_angle_beta 90.00
_cell_angle_gamma 120.00
_symmetry_space_group_name_H-M 'R -3 m'
_symmetry_Int_Tables_number 166
_symmetry_space_group_name_Hall '-R 3 2"'
loop_
_atom_site_label
_atom_site_fract_x
_atom_site_fract_y
_atom_site_fract_z
_atom_site_occupancy
Ca1 0.0000 0.0000 0.1215 1
Ca2 0.0000 0.0000 0.3729 1
Tl1 0.0000 0.0000 0.5000 1
Ag1 0.0000 0.0000 0.2487 1
```

=====

(12)
The following is a computed powder diffractogram of Ca2Tl3Ag2. It was derived from a structure optimized by DFT (PBE), using a wavelength of 1.5418 Å.
Kinematic intensities with the Lorentz-polarization factor, no thermal factor.

Top 6 peaks for 15° ≤ 2θ ≤ 90°, sorted by position:
2θ (°)  intensity
18.3  32
31.2  47
31.5  100
34.4  87
37.2  38
41.3  50

Cell and atoms:
```
data_Ca2Tl3Ag2
_cell_length_a 11.4933
_cell_length_b 4.3723
_cell_length_c 7.6288
_cell_angle_alpha 90.00
_cell_angle_beta 96.75
_cell_angle_gamma 90.00
_symmetry_space_group_name_H-M 'C 1 2/m 1'
_symmetry_Int_Tables_number 12
loop_
_symmetry_equiv_pos_as_xyz
'x,y,z'
'-x,-y,-z'
'-x,y,-z'
'x,-y,z'
'x+1/2,y+1/2,z'
'-x+1/2,-y+1/2,-z'
'-x+1/2,y+1/2,-z'
'x+1/2,-y+1/2,z'
loop_
_atom_site_label
_atom_site_fract_x
_atom_site_fract_y
_atom_site_fract_z
_atom_site_occupancy
Ca1 0.1185 0.0000 0.3362 1
Tl1 0.0000 0.5000 0.0000 1
Tl2 0.2048 0.0000 0.8495 1
Ag1 0.0901 0.5000 0.6363 1
```